This entry pairs a crystal structure of SrCo2P2H4O10 with its theoretical powder X-ray diffraction pattern. Radiation: Cu Kα, 1.54184 Å. Structure: a DFT-relaxed cell (GGA+U, OQMD).

Crystal structure
```
SrCo2P2H4O10
1.0
4.4556 -2.9960 0.0000
4.4556 2.9960 0.0000
-3.0357 0.0000 6.7287
Sr Co P H O
1 2 2 4 10
Cartesian
0.0000 0.0000 0.0000 Sr
0.7100 1.4980 3.3643 Co
0.7100 -1.4980 3.3643 Co
3.0111 0.0000 1.4685 P
2.8644 0.0000 5.2602 P
-1.3063 0.0000 4.2792 H
-0.1682 0.0000 5.3566 H
6.0437 0.0000 1.3721 H
7.1818 0.0000 2.4495 H
-0.3278 0.0000 4.3037 O
2.0614 1.2814 4.9138 O
-0.4075 0.0000 6.7141 O
1.6383 0.0000 2.2354 O
3.8142 1.2814 1.8148 O
2.0614 -1.2814 4.9138 O
4.2372 0.0000 4.4932 O
6.2830 0.0000 0.0145 O
3.8142 -1.2814 1.8148 O
6.2034 0.0000 2.4249 O
```

Main lines, in order of rising 2θ (10 to 90 degrees two-theta):
| d [Å] | two_theta | Rel. int. |
| --- | --- | --- |
| 4.470 | 19.86 | 590 |
| 4.360 | 20.37 | 513 |
| 3.359 | 26.53 | 380 |
| 3.143 | 28.40 | 720 |
| 2.977 | 30.01 | 982 |
| 2.737 | 32.72 | 1000 |
| 2.661 | 33.68 | 502 |
| 2.485 | 36.15 | 593 |
| 2.469 | 36.40 | 388 |
| 2.235 | 40.35 | 725 |